[1]
The following is a simulated X-ray powder pattern of RbNa12Au5. It was derived from the PBE geometry in Alexandria, using copper Kα.
Lines closer than 0.1° are merged.

Crystal structure
Lattice parameters (Å, degrees): 8.592 10.240 12.021 90.00 90.00 90.00
Space group Immm (No. 71)
One atom of each set of equivalent atoms:
Rb 0.000 0.000 0.000 (multiplicity 2)
Na 0.000 0.322 0.184 (multiplicity 8)
Na 0.175 0.264 0.500 (multiplicity 8)
Na 0.195 0.000 0.278 (multiplicity 8)
Au 0.000 0.000 0.500 (multiplicity 2)
Au 0.000 0.500 0.383 (multiplicity 4)
Au 0.162 0.500 0.000 (multiplicity 4)

Peak list (8 most intense, 10 to 80 degrees two-theta, in order of rising 2θ)
2theta	I (rel.)	index
13.5	36	1 1 0
14.7	60	0 0 2
17.3	100	0 2 0
22.8	33	0 2 2
23.8	38	0 1 3
35.8	38	3 1 2
36.7	51	3 2 1
44.6	38	3 1 4

[2]
The following is a simulated X-ray powder pattern of Rb3NaAu3. It was derived from the PBE geometry in Alexandria, using copper Kα.
Lines closer than 0.1° are merged.

Crystal structure
Lattice parameters (Å, degrees): 12.707 5.035 17.002 90.00 111.80 90.00
Space group C2/m (No. 12)
One atom of each set of equivalent atoms:
Rb 0.023 0.000 0.276 (multiplicity 4)
Rb 0.142 0.500 0.127 (multiplicity 4)
Rb 0.178 0.000 0.574 (multiplicity 4)
Na 0.179 0.500 0.914 (multiplicity 4)
Au 0.024 0.500 0.422 (multiplicity 4)
Au 0.077 0.000 0.957 (multiplicity 4)
Au 0.181 0.500 0.731 (multiplicity 4)

Peak list (8 most intense, 10 to 80 degrees two-theta, in order of rising 2θ)
2theta	I (rel.)	index
15.0	37	2 0 -2
19.2	61	1 1 -1
27.5	100	1 1 3
27.7	56	3 1 -2
31.0	34	3 1 1
32.9	27	4 0 1
34.1	85	3 1 -5
35.7	46	0 2 0

[3]
The following is a simulated X-ray powder pattern of Rb8NaAu4. It was derived from the PBE geometry in Alexandria, using copper Kα.
Lines closer than 0.1° are merged.

Crystal structure
Lattice parameters (Å, degrees): 23.831 4.967 16.438 90.00 131.24 90.00
Space group Cm (No. 8)
One atom of each set of equivalent atoms:
Rb 0.000 0.000 0.000 (multiplicity 2)
Rb 0.025 0.000 0.730 (multiplicity 2)
Rb 0.061 0.000 0.476 (multiplicity 2)
Rb 0.174 0.500 0.343 (multiplicity 2)
Rb 0.211 0.500 0.088 (multiplicity 2)
Rb 0.238 0.500 0.821 (multiplicity 2)
Rb 0.325 0.000 0.659 (multiplicity 2)
Rb 0.410 0.000 0.160 (multiplicity 2)
Na 0.367 0.000 0.408 (multiplicity 2)
Au 0.018 0.500 0.872 (multiplicity 2)
Au 0.040 0.000 0.245 (multiplicity 2)
Au 0.195 0.500 0.574 (multiplicity 2)
Au 0.218 0.000 0.946 (multiplicity 2)

Peak list (8 most intense, 10 to 80 degrees two-theta, in order of rising 2θ)
2theta	I (rel.)	index
10.8	100	2 0 -2
21.6	94	3 1 -2
23.3	54	3 1 0
27.5	52	5 1 -1
28.8	89	5 1 -4
33.0	45	7 1 -2
36.2	50	0 2 0
37.3	89	1 1 4

[4]
The following is a simulated X-ray powder pattern of RbNaAuS2. It was derived from the PBE geometry in Alexandria, using copper Kα.
Lines closer than 0.1° are merged.

Crystal structure
Lattice parameters (Å, degrees): 7.106 14.398 5.714 90.00 90.00 90.00
Space group Cmme (No. 67)
One atom of each set of equivalent atoms:
Rb 0.000 0.250 0.240 (multiplicity 4)
Na 0.250 0.000 0.500 (multiplicity 4)
Au 0.000 0.000 0.000 (multiplicity 4)
S 0.000 0.120 0.737 (multiplicity 8)

Peak list (8 most intense, 10 to 80 degrees two-theta, in order of rising 2θ)
2theta	I (rel.)	index
12.3	87	0 2 0
15.5	80	0 0 1
19.8	87	0 2 1
25.1	100	2 0 0
29.6	60	2 0 1
32.2	92	2 2 1
33.8	80	0 2 2
39.0	64	2 4 1

[5]
The following is a simulated X-ray powder pattern of RbNaTl4Au2. It was derived from the PBE geometry in Alexandria, using copper Kα.
Lines closer than 0.1° are merged.

Crystal structure
Lattice parameters (Å, degrees): 4.582 4.582 12.812 90.00 90.00 90.00
Space group P4/mmm (No. 123)
One atom of each set of equivalent atoms:
Rb 0.000 0.000 0.000 (multiplicity 1)
Na 0.000 0.000 0.500 (multiplicity 1)
Tl 0.000 0.500 0.244 (multiplicity 4)
Au 0.500 0.500 0.396 (multiplicity 2)

Peak list (8 most intense, 10 to 80 degrees two-theta, in order of rising 2θ)
2theta	I (rel.)	index
13.8	54	0 0 2
20.6	37	1 0 1
30.9	100	1 1 2
34.2	16	1 0 4
39.3	44	2 0 0
39.6	53	1 1 4
66.1	23	3 1 2
71.5	19	3 1 4

[6]
The following is a simulated X-ray powder pattern of NaRe3Au. It was derived from the PBE geometry in Alexandria, using copper Kα.
Lines closer than 0.1° are merged.

Crystal structure
Lattice parameters (Å, degrees): 4.908 4.908 4.908 90.00 90.00 90.00
Space group Pm-3m (No. 221)
One atom of each set of equivalent atoms:
Na 0.000 0.000 0.000 (multiplicity 1)
Re 0.000 0.500 0.500 (multiplicity 3)
Au 0.500 0.500 0.500 (multiplicity 1)

Peak list (8 most intense, 10 to 80 degrees two-theta, in order of rising 2θ)
2theta	I (rel.)	index
18.1	100	1 0 0
31.6	39	1 1 1
36.6	83	2 0 0
41.1	52	2 1 0
52.8	59	2 2 0
56.2	26	3 0 0
62.8	16	3 1 1
65.9	20	2 2 2

Copy entry 6 word for word.
The following is a simulated X-ray powder pattern of NaRe3Au. It was derived from the PBE geometry in Alexandria, using copper Kα.
Lines closer than 0.1° are merged.

Crystal structure
Lattice parameters (Å, degrees): 4.908 4.908 4.908 90.00 90.00 90.00
Space group Pm-3m (No. 221)
One atom of each set of equivalent atoms:
Na 0.000 0.000 0.000 (multiplicity 1)
Re 0.000 0.500 0.500 (multiplicity 3)
Au 0.500 0.500 0.500 (multiplicity 1)

Peak list (8 most intense, 10 to 80 degrees two-theta, in order of rising 2θ)
2theta	I (rel.)	index
18.1	100	1 0 0
31.6	39	1 1 1
36.6	83	2 0 0
41.1	52	2 1 0
52.8	59	2 2 0
56.2	26	3 0 0
62.8	16	3 1 1
65.9	20	2 2 2